Diffraction record for Mn3SnO8. The X-ray diffraction stick pattern is computed, not measured: it uses DFT lattice parameters and positions (GGA+U) and Cu Kα.

Structural model:
Cell lengths 8.4500, 8.4500, 8.4500 Å; angles 90.00, 90.00, 90.00 degrees
Space group P4_332 (No. 212)
Asymmetric unit:
1 Mn 0.1128 0.1372 0.6250
2 Sn 0.1250 0.8750 0.3750
3 O 0.0935 0.1233 0.3955
4 O 0.1166 0.6166 0.8834

Principal peaks in the range 10° ≤ 2θ ≤ 90°, by angle:
d 4.879, I = 100.0
d 3.779, I = 9.7
d 2.548, I = 38.9
d 2.439, I = 16.5
d 2.113, I = 46.0
d 1.939, I = 11.8
d 1.626, I = 16.3
d 1.494, I = 24.6
d 1.428, I = 15.1
d 1.274, I = 9.2